Starting from the GGA+U geometry in Alexandria, the X-ray diffraction stick pattern of LiVP4O12 was computed for Cu Kα, 1.54184 Å.

Peak list (6 most intense, 10 to 80 degrees two-theta, most intense first)
(0 2 0), 2θ = 14.24°, I 100
(2 0 0), 2θ = 10.47°, I 53
(0 2 1), 2θ = 22.35°, I 44
(3 1 0), 2θ = 17.28°, I 35
(0 4 1), 2θ = 33.65°, I 33
(2 0 -1), 2θ = 18.13°, I 31

Crystal structure
Lattice parameters (Å, degrees): 17.2801 12.4378 5.2916 90.00 102.11 90.00
Space group C2/m (No. 12)
Unique sites:
Li  0.0972  0.0000  0.0099
V  0.2500  0.2500  0.5000
P  0.0793  0.2159  0.6687
P  0.1850  0.3805  0.9626
O  0.0000  0.2682  0.5000
O  0.0618  0.1205  0.8144
O  0.1044  0.3163  0.8636
O  0.1385  0.2045  0.4954
O  0.1525  0.5000  0.8933
O  0.2087  0.3713  0.2525
O  0.2469  0.3528  0.8105